This entry pairs a crystal structure of Nd3Ho5Sc2 with its calculated X-ray powder pattern. Radiation: copper Kα. Structure: a cell relaxed with PBE.
No peak broadening, texture or thermal motion is included.

Cell and atoms:
a = 9.291 Å, b = 9.301 Å, c = 9.322 Å
α = 106.53°, β = 106.57°, γ = 115.35°
Fractional coordinates of all 20 atoms:
Nd1 0.081 0.030 0.351
Nd2 0.273 0.425 0.952
Nd3 0.323 0.772 0.849
Nd4 0.677 0.228 0.151
Nd5 0.727 0.575 0.048
Nd6 0.919 0.970 0.649
Ho1 0.024 0.675 0.448
Ho2 0.131 0.382 0.251
Ho3 0.227 0.075 0.054
Ho4 0.380 0.127 0.749
Ho5 0.473 0.822 0.547
Ho6 0.527 0.178 0.453
Ho7 0.620 0.873 0.251
Ho8 0.773 0.925 0.946
Ho9 0.869 0.618 0.749
Ho10 0.976 0.325 0.552
Sc1 0.173 0.723 0.149
Sc2 0.428 0.477 0.644
Sc3 0.572 0.523 0.356
Sc4 0.827 0.277 0.851

Peak list (10 most intense, 10 to 80 degrees two-theta, low angle first)
d/Å  I/Imax
2.873  100
2.494  17
2.485  33
1.762  12
1.759  18
1.756  6
1.504  10
1.500  11
1.499  21
1.436  6



This entry pairs a crystal structure of Ag2HPd6Se with its calculated X-ray powder pattern. Radiation: copper Kα. Structure: a cell relaxed with PBE.
No peak broadening, texture or thermal motion is included.

Cell and atoms:
a = 5.645 Å, b = 5.742 Å, c = 5.859 Å
α = 70.43°, β = 70.92°, γ = 63.04°
Fractional coordinates of all 10 atoms:
Ag1 0.198 0.313 0.296
Ag2 0.802 0.687 0.704
H1 0.000 0.000 0.000
Pd1 0.152 0.852 0.291
Pd2 0.268 0.688 0.860
Pd3 0.295 0.182 0.815
Pd4 0.705 0.818 0.185
Pd5 0.732 0.312 0.140
Pd6 0.848 0.148 0.709
Se1 0.500 0.500 0.500

Peak list (10 most intense, 10 to 80 degrees two-theta, low angle first)
d/Å  I/Imax
2.700  49
2.495  32
2.485  33
2.460  51
2.439  73
2.364  63
2.236  100
2.189  41
2.183  68
2.095  62



This entry pairs a crystal structure of RbHIF with its calculated X-ray powder pattern. Radiation: copper Kα. Structure: a cell relaxed with PBE.
No peak broadening, texture or thermal motion is included.

Cell and atoms:
a = 4.993 Å, b = 4.993 Å, c = 5.279 Å
α = 90.00°, β = 90.00°, γ = 120.00°
Fractional coordinates of all 4 atoms:
Rb1 0.000 0.000 0.000
H1 0.333 0.667 0.320
I1 0.667 0.333 0.542
F1 0.333 0.667 0.138

Peak list (10 most intense, 10 to 80 degrees two-theta, low angle first)
d/Å  I/Imax
4.324  22
3.345  100
2.640  11
2.497  35
2.253  14
2.001  23
1.814  21
1.630  11
1.561  20
1.265  6



This entry pairs a crystal structure of TbPm4Sm7 with its calculated X-ray powder pattern. Radiation: copper Kα. Structure: a cell relaxed with PBE.
No peak broadening, texture or thermal motion is included.

Cell and atoms:
a = 6.332 Å, b = 7.314 Å, c = 9.041 Å
α = 89.96°, β = 76.51°, γ = 90.00°
Fractional coordinates of all 12 atoms:
Tb1 0.000 0.000 0.000
Pm1 0.223 0.500 0.332
Pm2 0.278 0.249 0.668
Pm3 0.722 0.751 0.332
Pm4 0.777 0.500 0.668
Sm1 0.000 0.500 0.000
Sm2 0.221 0.000 0.332
Sm3 0.278 0.751 0.669
Sm4 0.500 0.249 0.000
Sm5 0.500 0.751 0.000
Sm6 0.722 0.249 0.331
Sm7 0.779 0.000 0.668

Peak list (10 most intense, 10 to 80 degrees two-theta, low angle first)
d/Å  I/Imax
3.144  36
2.930  49
2.854  100
2.715  85
2.284  16
1.828  38
1.708  23
1.619  17
1.551  44
1.539  16



This entry pairs a crystal structure of Y3PuAg3S8 with its calculated X-ray powder pattern. Radiation: copper Kα. Structure: a cell relaxed with PBE.
No peak broadening, texture or thermal motion is included.

Cell and atoms:
a = 7.678 Å, b = 7.678 Å, c = 7.702 Å
α = 116.92°, β = 116.92°, γ = 63.22°
Fractional coordinates of all 15 atoms:
Y1 0.000 0.000 0.000
Y2 0.000 0.500 0.500
Y3 0.500 0.000 0.500
Pu1 0.500 0.500 0.000
Ag1 0.000 0.500 0.000
Ag2 0.500 0.000 0.000
Ag3 0.500 0.500 0.500
S1 0.248 0.248 0.254
S2 0.251 0.743 0.758
S3 0.257 0.257 0.750
S4 0.257 0.749 0.242
S5 0.743 0.251 0.758
S6 0.743 0.743 0.250
S7 0.749 0.257 0.242
S8 0.752 0.752 0.746

Peak list (10 most intense, 10 to 80 degrees two-theta, low angle first)
d/Å  I/Imax
6.515  62
3.362  25
3.257  68
2.779  100
2.769  50
2.012  57
1.921  22
1.915  34
1.627  25
1.267  18



This entry pairs a crystal structure of Na3Sn12Bi with its calculated X-ray powder pattern. Radiation: copper Kα. Structure: a cell relaxed with PBE.
No peak broadening, texture or thermal motion is included.

Cell and atoms:
a = 4.674 Å, b = 4.674 Å, c = 20.040 Å
α = 90.00°, β = 90.00°, γ = 90.00°
Fractional coordinates of all 16 atoms:
Na1 0.000 0.000 0.000
Na2 0.000 0.000 0.242
Na3 0.000 0.000 0.758
Sn1 0.000 0.500 0.122
Sn2 0.000 0.500 0.365
Sn3 0.000 0.500 0.635
Sn4 0.000 0.500 0.878
Sn5 0.500 0.000 0.122
Sn6 0.500 0.000 0.365
Sn7 0.500 0.000 0.635
Sn8 0.500 0.000 0.878
Sn9 0.500 0.500 0.000
Sn10 0.500 0.500 0.245
Sn11 0.500 0.500 0.500
Sn12 0.500 0.500 0.755
Bi1 0.000 0.000 0.500

Peak list (10 most intense, 10 to 80 degrees two-theta, low angle first)
d/Å  I/Imax
4.552  4
2.963  3
2.759  100
2.505  18
2.337  32
1.709  23
1.653  11
1.491  13
1.418  27
1.379  12